# 1
Computed X-ray powder pattern
Compound: TmIn5Rh
Radiation: Cu Kα, 1.54184 Å
Structure: the GGA-PBE geometry in the Materials Project

Atomic structure:
Cell: 4.6753 4.6753 7.4603 Å, 90.00 90.00 90.00°
Space group P4/mmm (No. 123)
Inequivalent atoms, fractional coordinates:
Tm 0.0000 0.0000 0.0000 x1
In 0.0000 0.5000 0.2991 x4
In 0.5000 0.5000 0.0000 x1
Rh 0.0000 0.0000 0.5000 x1

The 8 most intense peaks (2θ = 5–70°), by angle:
- 18.98°, d = 4.675 Å, intensity 10.6, hkl 1 0 0
- 29.55°, d = 3.022 Å, intensity 29.9, hkl 1 1 1
- 36.12°, d = 2.487 Å, intensity 13.0, hkl 0 0 3
- 36.31°, d = 2.474 Å, intensity 100.0, hkl 1 1 2
- 38.51°, d = 2.338 Å, intensity 52.4, hkl 2 0 0
- 53.82°, d = 1.703 Å, intensity 16.1, hkl 2 0 3
- 55.60°, d = 1.653 Å, intensity 17.6, hkl 2 2 0
- 68.24°, d = 1.374 Å, intensity 30.4, hkl 3 1 2

=====

# 2
Computed X-ray powder pattern
Compound: SrGa4Au3
Radiation: Cu Kα, 1.54184 Å
Structure: the GGA-PBE geometry in the Materials Project

Atomic structure:
Cell: 4.4366 4.4366 8.7584 Å, 90.00 90.00 90.00°
Space group P4/mmm (No. 123)
Inequivalent atoms, fractional coordinates:
Sr 0.0000 0.0000 0.0000 x1
Ga 0.0000 0.5000 0.3264 x4
Au 0.0000 0.0000 0.5000 x1
Au 0.5000 0.5000 0.1593 x2

The 8 most intense peaks (2θ = 5–70°), by angle:
- 22.46°, d = 3.958 Å, intensity 83.1, hkl 1 0 1
- 28.45°, d = 3.137 Å, intensity 33.9, hkl 1 1 0
- 28.64°, d = 3.117 Å, intensity 91.5, hkl 1 0 2
- 40.67°, d = 2.218 Å, intensity 84.2, hkl 2 0 0
- 42.29°, d = 2.137 Å, intensity 100.0, hkl 1 1 3
- 46.24°, d = 1.963 Å, intensity 36.5, hkl 1 0 4
- 50.50°, d = 1.807 Å, intensity 38.9, hkl 2 1 2
- 63.25°, d = 1.470 Å, intensity 28.9, hkl 2 1 4

=====

# 3
Computed X-ray powder pattern
Compound: AlP3NO10
Radiation: Cu Kα, 1.54184 Å
Structure: the GGA-PBE geometry in the Materials Project

Atomic structure:
Cell: 7.8117 5.0856 11.8381 Å, 90.00 113.60 90.00°
Space group P2/c (No. 13)
Inequivalent atoms, fractional coordinates:
Al 0.0000 0.0000 0.0000 x2
P 0.0000 0.2238 0.2500 x2
P 0.2330 0.4880 0.4787 x4
N 0.5000 0.0033 0.7500 x2
O 0.0716 0.0703 0.1698 x4
O 0.1585 0.4267 0.3331 x4
O 0.1646 0.2839 0.5427 x4
O 0.1993 0.2289 0.9976 x4
O 0.4532 0.4131 0.5305 x4

The 8 most intense peaks (2θ = 5–70°), by angle:
- 12.37°, d = 7.158 Å, intensity 100.0, hkl 1 0 0
- 16.34°, d = 5.424 Å, intensity 59.2, hkl 0 0 2
- 21.09°, d = 4.212 Å, intensity 19.8, hkl 1 1 -1
- 23.67°, d = 3.758 Å, intensity 21.1, hkl 2 0 -2
- 23.80°, d = 3.739 Å, intensity 36.9, hkl 1 1 -2
- 23.99°, d = 3.710 Å, intensity 29.6, hkl 0 1 2
- 30.54°, d = 2.927 Å, intensity 28.3, hkl 2 1 0
- 33.03°, d = 2.712 Å, intensity 24.6, hkl 0 0 4

=====

# 4
Computed X-ray powder pattern
Compound: ScIn3
Radiation: Cu Kα, 1.54184 Å
Structure: the GGA-PBE geometry in the Materials Project

Atomic structure:
Cell: 4.5358 4.5358 4.5358 Å, 90.00 90.00 90.00°
Space group Pm-3m (No. 221)
Inequivalent atoms, fractional coordinates:
Sc 0.0000 0.0000 0.0000 x1
In 0.0000 0.5000 0.5000 x3

The 8 most intense peaks (2θ = 5–70°), by angle:
- 19.57°, d = 4.536 Å, intensity 9.6, hkl 1 0 0
- 27.82°, d = 3.207 Å, intensity 8.4, hkl 1 1 0
- 34.24°, d = 2.619 Å, intensity 100.0, hkl 1 1 1
- 39.75°, d = 2.268 Å, intensity 49.3, hkl 2 0 0
- 44.67°, d = 2.028 Å, intensity 4.8, hkl 2 1 0
- 49.21°, d = 1.852 Å, intensity 3.6, hkl 2 1 1
- 57.47°, d = 1.604 Å, intensity 32.0, hkl 2 2 0
- 68.63°, d = 1.368 Å, intensity 36.9, hkl 3 1 1

=====

Copy entry 1 word for word.
Computed X-ray powder pattern
Compound: TmIn5Rh
Radiation: Cu Kα, 1.54184 Å
Structure: the GGA-PBE geometry in the Materials Project

Atomic structure:
Cell: 4.6753 4.6753 7.4603 Å, 90.00 90.00 90.00°
Space group P4/mmm (No. 123)
Inequivalent atoms, fractional coordinates:
Tm 0.0000 0.0000 0.0000 x1
In 0.0000 0.5000 0.2991 x4
In 0.5000 0.5000 0.0000 x1
Rh 0.0000 0.0000 0.5000 x1

The 8 most intense peaks (2θ = 5–70°), by angle:
- 18.98°, d = 4.675 Å, intensity 10.6, hkl 1 0 0
- 29.55°, d = 3.022 Å, intensity 29.9, hkl 1 1 1
- 36.12°, d = 2.487 Å, intensity 13.0, hkl 0 0 3
- 36.31°, d = 2.474 Å, intensity 100.0, hkl 1 1 2
- 38.51°, d = 2.338 Å, intensity 52.4, hkl 2 0 0
- 53.82°, d = 1.703 Å, intensity 16.1, hkl 2 0 3
- 55.60°, d = 1.653 Å, intensity 17.6, hkl 2 2 0
- 68.24°, d = 1.374 Å, intensity 30.4, hkl 3 1 2